1.
Theoretical X-ray diffraction stick pattern of Y2Mn2GaRh5 for copper Kα, from a cell relaxed with PBE.

a = 9.592 Å, b = 9.592 Å, c = 3.641 Å
α = 90.00°, β = 90.00°, γ = 90.00°
Space group P4/mbm (No. 127)
Symmetry-distinct sites (fractional):
Y: 0.177 0.323 0.000 x4
Mn: 0.123 0.623 0.000 x4
Ga: 0.000 0.000 0.000 x2
Rh: 0.000 0.500 0.500 x2
Rh: 0.064 0.797 0.500 x8

Most intense lines, 5 to 70 degrees two-theta, most intense first:
2theta  intensity
38.66  100
42.08  36
50.10  16
36.20  16
65.06  14
32.25  13
39.88  11
45.28  7
67.63  6
66.83  6


2.
Theoretical X-ray diffraction stick pattern of Sc2Mn2GaRu5 for copper Kα, from a cell relaxed with PBE.

a = 9.643 Å, b = 9.643 Å, c = 3.297 Å
α = 90.00°, β = 90.00°, γ = 90.00°
Space group P4/mbm (No. 127)
Symmetry-distinct sites (fractional):
Sc: 0.171 0.329 0.000 x4
Mn: 0.131 0.631 0.000 x4
Ga: 0.000 0.000 0.000 x2
Ru: 0.000 0.500 0.500 x2
Ru: 0.066 0.798 0.500 x8

Most intense lines, 5 to 70 degrees two-theta, most intense first:
2theta  intensity
40.29  100
38.49  38
43.58  38
20.60  23
41.90  19
37.97  19
55.77  18
47.68  17
39.66  13
27.05  13


3.
Theoretical X-ray diffraction stick pattern of Mn2GaS4 for copper Kα, from a cell relaxed with PBE.

a = 7.215 Å, b = 7.215 Å, c = 10.228 Å
α = 90.00°, β = 90.00°, γ = 90.00°
Space group I4_1/amd (No. 141, origin choice 2)
Symmetry-distinct sites (fractional):
Mn: 0.000 0.000 0.000 x8
Ga: 0.000 0.250 0.375 x4
S: 0.000 0.014 0.757 x16

Most intense lines, 5 to 70 degrees two-theta, most intense first:
2theta  intensity
29.00  100
50.56  86
35.15  38
24.66  38
46.22  26
46.14  19
43.41  16
59.34  12
63.07  7
68.77  6